Entry 1:
Diffraction record for RbV. The XRD peak list is simulated, not measured: it uses a cell relaxed with PBE and Cu Kα X-rays.

Principal peaks in the range 5 to 70 degrees two-theta, in order of falling intensity:
d/Å	2θ/deg	intensity
3.495	25.49	1000
3.399	26.22	973
3.437	25.92	758
8.184	10.81	445
3.182	28.04	389
1.960	46.33	382
2.367	38.02	338
4.096	21.70	322
2.812	31.82	300
7.497	11.81	212

Structure:
Cell: 9.7681 4.7339 14.9931 Å, 90.00 90.00 90.00°
Element x y z (fractional)
Rb (0.1524, 0.2500, 0.2238)
Rb (0.1805, 0.2500, 0.9384)
Rb (0.3195, 0.7500, 0.4384)
Rb (0.3476, 0.7500, 0.7238)
Rb (0.6524, 0.2500, 0.2762)
Rb (0.6805, 0.2500, 0.5616)
Rb (0.8195, 0.7500, 0.0616)
Rb (0.8476, 0.7500, 0.7762)
V (0.0198, 0.2500, 0.4674)
V (0.0800, 0.2500, 0.5866)
V (0.4200, 0.7500, 0.0866)
V (0.4802, 0.7500, 0.9674)
V (0.5198, 0.2500, 0.0326)
V (0.5800, 0.2500, 0.9134)
V (0.9200, 0.7500, 0.4134)
V (0.9802, 0.7500, 0.5326)

Entry 2:
Diffraction record for RbYb3. The XRD peak list is simulated, not measured: it uses a cell relaxed with PBE and Cu Kα X-rays.

Principal peaks in the range 5 to 70 degrees two-theta, in order of falling intensity:
d/Å	2θ/deg	intensity
3.282	27.17	1000
2.842	31.48	514
1.714	53.46	465
2.010	45.11	382
1.641	56.05	134
1.421	65.71	63
5.684	15.59	52
4.019	22.12	47
2.542	35.31	30
2.321	38.81	23

Structure:
Cell: 5.6842 5.6842 5.6842 Å, 90.00 90.00 90.00°
Element x y z (fractional)
Rb (0.0000, 0.0000, 0.0000)
Yb (0.0000, 0.5000, 0.5000)
Yb (0.5000, 0.0000, 0.5000)
Yb (0.5000, 0.5000, 0.0000)

Entry 3:
Diffraction record for RbZn. The XRD peak list is simulated, not measured: it uses a cell relaxed with PBE and Cu Kα X-rays.

Principal peaks in the range 5 to 70 degrees two-theta, in order of falling intensity:
d/Å	2θ/deg	intensity
3.352	26.59	1000
3.512	25.36	819
1.963	46.24	430
2.790	32.08	384
2.638	33.99	290
2.756	32.48	265
2.422	37.12	257
1.917	47.43	225
1.829	49.86	215
3.838	23.18	203

Structure:
Cell: 5.5798 12.5785 4.8440 Å, 90.00 90.00 90.00°
Element x y z (fractional)
Rb (0.0000, 0.1509, 0.2500)
Rb (0.0000, 0.8491, 0.7500)
Rb (0.5000, 0.3491, 0.7500)
Rb (0.5000, 0.6509, 0.2500)
Zn (0.0000, 0.4672, 0.2500)
Zn (0.0000, 0.5328, 0.7500)
Zn (0.5000, 0.0328, 0.7500)
Zn (0.5000, 0.9672, 0.2500)

Entry 4:
Diffraction record for RbZn. The XRD peak list is simulated, not measured: it uses a cell relaxed with PBE and Cu Kα X-rays.

Principal peaks in the range 5 to 70 degrees two-theta, in order of falling intensity:
d/Å	2θ/deg	intensity
6.604	13.41	1000
3.302	27.00	893
2.907	30.76	504
3.238	27.55	460
1.935	46.95	382
2.312	38.96	320
2.335	38.56	299
3.715	23.96	281
2.953	30.26	215
2.389	37.66	210

Structure:
Cell: 13.2084 13.2084 4.7775 Å, 90.00 90.00 90.00°
Element x y z (fractional)
Rb (0.0000, 0.2561, 0.0000)
Rb (0.0000, 0.7439, 0.0000)
Rb (0.2439, 0.5000, 0.5000)
Rb (0.2561, 0.0000, 0.0000)
Rb (0.5000, 0.2439, 0.5000)
Rb (0.5000, 0.7561, 0.5000)
Rb (0.7439, 0.0000, 0.0000)
Rb (0.7561, 0.5000, 0.5000)
Zn (0.2283, 0.2283, 0.5000)
Zn (0.2283, 0.7717, 0.5000)
Zn (0.2717, 0.2717, 0.0000)
Zn (0.2717, 0.7283, 0.0000)
Zn (0.7283, 0.2717, 0.0000)
Zn (0.7283, 0.7283, 0.0000)
Zn (0.7717, 0.2283, 0.5000)
Zn (0.7717, 0.7717, 0.5000)

Entry 5:
Diffraction record for Rb3Zr. The XRD peak list is simulated, not measured: it uses a cell relaxed with PBE and Cu Kα X-rays.

Principal peaks in the range 5 to 70 degrees two-theta, in order of falling intensity:
d/Å	2θ/deg	intensity
3.582	24.86	1000
3.102	28.78	515
1.870	48.68	464
2.193	41.16	382
1.423	65.60	187
1.387	67.53	172
1.791	51.00	134
1.551	59.61	63

Structure:
Cell: 6.2036 6.2036 6.2036 Å, 90.00 90.00 90.00°
Element x y z (fractional)
Rb (0.0000, 0.0000, 0.5000)
Rb (0.0000, 0.5000, 0.0000)
Rb (0.5000, 0.0000, 0.0000)
Zr (0.5000, 0.5000, 0.5000)

Entry 6:
Diffraction record for Re. The XRD peak list is simulated, not measured: it uses a cell relaxed with PBE and Cu Kα X-rays.

Principal peaks in the range 5 to 70 degrees two-theta, in order of falling intensity:
d/Å	2θ/deg	intensity
2.119	42.67	1000
2.238	40.29	261
2.406	37.38	240
1.389	67.42	174
1.639	56.13	150

Structure:
Cell: 2.7780 2.7780 4.4764 Å, 90.00 90.00 120.00°
Element x y z (fractional)
Re (0.3333, 0.6667, 0.2500)
Re (0.6667, 0.3333, 0.7500)

Entry 7:
Diffraction record for Re. The XRD peak list is simulated, not measured: it uses a cell relaxed with PBE and Cu Kα X-rays.

Principal peaks in the range 5 to 70 degrees two-theta, in order of falling intensity:
d/Å	2θ/deg	intensity
2.162	41.78	1000
2.234	40.37	315
2.368	38.00	223
2.059	43.98	196
1.625	56.64	142
1.448	64.35	76
2.992	29.86	68
1.461	63.69	48
2.081	43.49	36
1.790	51.01	31

Structure:
Cell: 4.4686 11.5811 4.7358 Å, 90.00 90.00 90.00°
Element x y z (fractional)
Re (0.0000, 0.0000, 0.0000)
Re (0.0000, 0.1316, 0.4402)
Re (0.0000, 0.2500, 0.9297)
Re (0.0000, 0.3684, 0.4402)
Re (0.0000, 0.5000, 0.0000)
Re (0.0000, 0.6316, 0.5598)
Re (0.0000, 0.7500, 0.0703)
Re (0.0000, 0.8684, 0.5598)
Re (0.5000, 0.0000, 0.5000)
Re (0.5000, 0.1316, 0.0598)
Re (0.5000, 0.2500, 0.5703)
Re (0.5000, 0.3684, 0.0598)
Re (0.5000, 0.5000, 0.5000)
Re (0.5000, 0.6316, 0.9402)
Re (0.5000, 0.7500, 0.4297)
Re (0.5000, 0.8684, 0.9402)

Entry 8:
Diffraction record for Re. The XRD peak list is simulated, not measured: it uses a cell relaxed with PBE and Cu Kα X-rays.

Principal peaks in the range 5 to 70 degrees two-theta, in order of falling intensity:
d/Å	2θ/deg	intensity
2.137	42.30	1000
2.253	40.03	354
2.232	40.41	221
2.389	37.65	189
1.938	46.89	164
2.365	38.05	155
1.370	68.49	140
1.631	56.41	92
1.414	66.08	87
1.806	50.54	70

Structure:
Cell: 2.8279 13.5159 4.7298 Å, 90.00 90.00 90.00°
Element x y z (fractional)
Re (0.0000, 0.0000, 0.0000)
Re (0.0000, 0.1574, 0.3407)
Re (0.0000, 0.3426, 0.8407)
Re (0.0000, 0.5000, 0.5000)
Re (0.0000, 0.6574, 0.8407)
Re (0.0000, 0.8426, 0.3407)
Re (0.5000, 0.0000, 0.5109)
Re (0.5000, 0.1723, 0.8478)
Re (0.5000, 0.3277, 0.3478)
Re (0.5000, 0.5000, 0.0109)
Re (0.5000, 0.6723, 0.3478)
Re (0.5000, 0.8277, 0.8478)

Entry 9:
Diffraction record for ReRh2. The XRD peak list is simulated, not measured: it uses a cell relaxed with PBE and Cu Kα X-rays.

Principal peaks in the range 5 to 70 degrees two-theta, in order of falling intensity:
d/Å	2θ/deg	intensity
2.086	43.37	1000
2.093	43.23	537
2.190	41.22	394
2.373	37.92	265
1.374	68.28	173
1.609	57.25	160
3.734	23.83	135
2.382	37.76	110
1.368	68.60	87
1.612	57.13	65

Structure:
Cell: 2.7361 14.2946 4.3797 Å, 90.00 90.00 90.00°
Element x y z (fractional)
Re (0.0000, 0.1133, 0.2500)
Re (0.0000, 0.8867, 0.7500)
Re (0.5000, 0.3867, 0.7500)
Re (0.5000, 0.6133, 0.2500)
Rh (0.0000, 0.2241, 0.7500)
Rh (0.0000, 0.4463, 0.2500)
Rh (0.0000, 0.5537, 0.7500)
Rh (0.0000, 0.7759, 0.2500)
Rh (0.5000, 0.0537, 0.7500)
Rh (0.5000, 0.2759, 0.2500)
Rh (0.5000, 0.7241, 0.7500)
Rh (0.5000, 0.9463, 0.2500)

Entry 10:
Diffraction record for Re3Rh5. The XRD peak list is simulated, not measured: it uses a cell relaxed with PBE and Cu Kα X-rays.

Principal peaks in the range 5 to 70 degrees two-theta, in order of falling intensity:
d/Å	2θ/deg	intensity
2.233	40.39	1000
1.932	47.02	324
15.500	5.70	288
1.368	68.59	206
1.937	46.89	162
1.366	68.69	104
5.167	17.16	39
7.750	11.42	28
2.691	33.29	24
2.416	37.22	23

Structure:
Cell: 2.7328 2.7328 15.4997 Å, 90.00 90.00 90.00°
Element x y z (fractional)
Re (0.0000, 0.0000, 0.0000)
Re (0.0000, 0.0000, 0.2536)
Re (0.5000, 0.5000, 0.3786)
Rh (0.0000, 0.0000, 0.5011)
Rh (0.0000, 0.0000, 0.7486)
Rh (0.5000, 0.5000, 0.1264)
Rh (0.5000, 0.5000, 0.6296)
Rh (0.5000, 0.5000, 0.8797)

Entry 11:
Diffraction record for ReRh2. The XRD peak list is simulated, not measured: it uses a cell relaxed with PBE and Cu Kα X-rays.

Principal peaks in the range 5 to 70 degrees two-theta, in order of falling intensity:
d/Å	2θ/deg	intensity
2.229	40.46	1000
1.933	47.01	665
2.241	40.24	325
6.723	13.17	216
1.370	68.51	203
1.364	68.82	200
2.363	38.08	45
1.626	56.60	34
3.362	26.52	23
1.681	54.60	11

Structure:
Cell: 2.7284 2.7284 6.7230 Å, 90.00 90.00 120.00°
Element x y z (fractional)
Re (0.0000, 0.0000, 0.0000)
Rh (0.3333, 0.6667, 0.3266)
Rh (0.6667, 0.3333, 0.6734)

Entry 12:
Diffraction record for Re3Rh5. The XRD peak list is simulated, not measured: it uses a cell relaxed with PBE and Cu Kα X-rays.

Principal peaks in the range 5 to 70 degrees two-theta, in order of falling intensity:
d/Å	2θ/deg	intensity
2.100	43.07	1000
2.095	43.18	991
2.086	43.39	890
2.182	41.38	729
2.374	37.89	278
1.612	57.14	259
2.396	37.54	220
2.388	37.66	219
1.385	67.67	169
1.607	57.35	167

Structure:
Cell: 4.7486 4.3640 5.5381 Å, 90.00 90.20 90.00°
Element x y z (fractional)
Re (0.0000, 0.0000, 0.0000)
Re (0.1526, 0.5000, 0.7488)
Re (0.4984, 0.0000, 0.2500)
Rh (0.1634, 0.5000, 0.2490)
Rh (0.4935, 0.0000, 0.7487)
Rh (0.6536, 0.5000, 0.9984)
Rh (0.6558, 0.5000, 0.5008)
Rh (0.9955, 0.0000, 0.4962)

Entry 13:
Diffraction record for Re7Rh. The XRD peak list is simulated, not measured: it uses a cell relaxed with PBE and Cu Kα X-rays.

Principal peaks in the range 5 to 70 degrees two-theta, in order of falling intensity:
d/Å	2θ/deg	intensity
2.256	39.95	1000
1.954	46.47	490
1.381	67.85	266
1.384	67.69	54
4.181	21.25	14
5.520	16.06	9
2.853	31.35	6

Structure:
Cell: 6.7629 6.1755 4.7880 Å, 74.98 61.88 43.14°
Element x y z (fractional)
Re (0.0000, 0.0000, 0.0000)
Re (0.1260, 0.1260, 0.3740)
Re (0.2505, 0.2505, 0.7495)
Re (0.3740, 0.3740, 0.1260)
Re (0.6260, 0.6260, 0.8740)
Re (0.7495, 0.7495, 0.2505)
Re (0.8740, 0.8740, 0.6260)
Rh (0.5000, 0.5000, 0.5000)

Entry 14:
Diffraction record for Re3Rh5. The XRD peak list is simulated, not measured: it uses a cell relaxed with PBE and Cu Kα X-rays.

Principal peaks in the range 5 to 70 degrees two-theta, in order of falling intensity:
d/Å	2θ/deg	intensity
2.234	40.38	1000
1.929	47.12	323
1.370	68.48	205
1.947	46.66	162
7.787	11.36	128
1.364	68.85	103
15.574	5.67	91
2.574	34.85	38
1.880	48.41	17
1.872	48.64	16

Structure:
Cell: 2.7274 2.7274 15.5743 Å, 90.00 90.00 90.00°
Element x y z (fractional)
Re (0.0000, 0.0000, 0.0000)
Re (0.0000, 0.0000, 0.4965)
Re (0.5000, 0.5000, 0.8676)
Rh (0.0000, 0.0000, 0.2471)
Rh (0.0000, 0.0000, 0.7495)
Rh (0.5000, 0.5000, 0.1197)
Rh (0.5000, 0.5000, 0.3738)
Rh (0.5000, 0.5000, 0.6159)

Entry 15:
Diffraction record for ReRh. The XRD peak list is simulated, not measured: it uses a cell relaxed with PBE and Cu Kα X-rays.

Principal peaks in the range 5 to 70 degrees two-theta, in order of falling intensity:
d/Å	2θ/deg	intensity
2.097	43.13	1000
2.086	43.38	678
2.206	40.91	523
2.121	42.63	355
2.376	37.87	324
1.381	67.86	234
4.193	21.19	195
2.401	37.46	170
1.612	57.14	142
1.367	68.65	114

Structure:
Cell: 9.9879 2.7342 4.8016 Å, 90.00 117.93 90.00°
Element x y z (fractional)
Re (0.1260, 0.0000, 0.2901)
Re (0.3740, 0.5000, 0.7099)
Re (0.6260, 0.5000, 0.2901)
Re (0.8740, 0.0000, 0.7099)
Rh (0.1203, 0.5000, 0.7923)
Rh (0.3797, 0.0000, 0.2077)
Rh (0.6203, 0.0000, 0.7923)
Rh (0.8797, 0.5000, 0.2077)